Calculated XRD peak list
Compound: Pu2NiHg
Radiation: Cu Kα (weighted mean of Kα1 and Kα2)
Structure: a cell relaxed with GGA-PBE
Peak positions follow from Bragg's law for the DFT cell and can differ from measured ones.

Structural model:
```
data_Pu2NiHg
_chemical_formula_sum 'Pu2 Ni1 Hg1'
_symmetry_space_group_name_H-M 'P 4/m m m'
_symmetry_Int_Tables_number 123
_symmetry_space_group_name_Hall '-P 4 2'
_cell_length_a 3.263
_cell_length_b 3.263
_cell_length_c 8.316
_cell_angle_alpha 90.00
_cell_angle_beta 90.00
_cell_angle_gamma 90.00
loop_
_atom_site_label
_atom_site_type_symbol
_atom_site_fract_x
_atom_site_fract_y
_atom_site_fract_z
_atom_site_occupancy
Pu1 Pu 0.000 0.000 0.208 1
Ni1 Ni 0.500 0.500 0.000 1
Hg1 Hg 0.500 0.500 0.500 1
```

Main lines, in order of falling intensity (2θ from 5° to 70°):
- 2θ 35.0, rel. 100, (1 0 2)
- 2θ 39.0, rel. 44, (1 1 0)
- 2θ 68.1, rel. 30, (2 1 2)
- 2θ 29.4, rel. 23, (1 0 1)
- 2θ 51.5, rel. 17, (1 1 3)
- 2θ 56.4, rel. 15, (2 0 0)